Structure and theoretical powder XRD pattern of Pm4Dy3TmS8 (a GGA-PBE-relaxed structure; Cu Kα, 1.54184 Å).

The 10 most intense peaks (2θ from 10° to 90°), sorted by position:
Position (°2θ)  I_rel  index
27.18  21  0 0 6
27.69  59  2 0 2
31.94  100  0 2 4
45.46  37  2 0 8
46.12  35  2 2 0
54.36  20  2 2 6
57.19  18  4 0 4
75.44  16  2 2 12
76.41  16  2 4 4
84.97  12  4 2 8

Structural model:
```
data_Pm4Dy3TmS8
_chemical_formula_sum 'Pm12 Dy9 Tm3 S24'
_symmetry_space_group_name_H-M 'R -3 m'
_symmetry_Int_Tables_number 166
_symmetry_space_group_name_Hall '-R 3 2"'
_cell_length_a 7.8729
_cell_length_b 7.8729
_cell_length_c 19.6823
_cell_angle_alpha 90.00
_cell_angle_beta 90.00
_cell_angle_gamma 120.00
loop_
_atom_site_label
_atom_site_type_symbol
_atom_site_fract_x
_atom_site_fract_y
_atom_site_fract_z
_atom_site_occupancy
Pm1 Pm 0.0000 0.0000 0.0000 1
Pm2 Pm 0.0000 0.5000 0.0000 1
Dy1 Dy 0.0000 0.5000 0.5000 1
Tm1 Tm 0.0000 0.0000 0.5000 1
S1 S 0.0000 0.0000 0.2456 1
S2 S 0.0031 0.5016 0.2449 1
```

Structure and theoretical powder XRD pattern of NaTl2CdIn2 (a GGA-PBE-relaxed structure; Cu Kα, 1.54184 Å).

The 10 most intense peaks (2θ from 10° to 90°), sorted by position:
Position (°2θ)  I_rel  index
25.64  19  0 1 2
31.89  62  0 2 0
32.57  92  2 1 1
33.40  50  2 0 2
34.36  100  0 1 3
46.85  39  2 2 2
57.26  18  2 3 1
58.42  21  0 3 3
61.44  19  2 1 5
65.91  30  4 1 3

Structural model:
```
data_NaTl2CdIn2
_chemical_formula_sum 'Na2 Tl4 Cd2 In4'
_symmetry_space_group_name_H-M 'P m m a'
_symmetry_Int_Tables_number 51
_cell_length_a 6.750
_cell_length_b 5.612
_cell_length_c 8.846
_cell_angle_alpha 90.00
_cell_angle_beta 90.00
_cell_angle_gamma 90.00
loop_
_symmetry_equiv_pos_as_xyz
'x,y,z'
'-x,-y,-z'
'-x+1/2,-y,z'
'x+1/2,y,-z'
'x+1/2,-y,-z'
'-x+1/2,y,z'
'-x,y,-z'
'x,-y,z'
loop_
_atom_site_label
_atom_site_type_symbol
_atom_site_fract_x
_atom_site_fract_y
_atom_site_fract_z
_atom_site_occupancy
Na1 Na 0.000 0.000 0.000 1
Tl1 Tl 0.000 0.500 0.500 1
Tl2 Tl 0.250 0.000 0.328 1
Cd1 Cd 0.250 0.500 0.824 1
In1 In 0.250 0.000 0.675 1
In2 In 0.250 0.500 0.161 1
```

Structure and theoretical powder XRD pattern of Nd3Dy4Er3 (a GGA-PBE-relaxed structure; Cu Kα, 1.54184 Å).

The 10 most intense peaks (2θ from 10° to 90°), sorted by position:
Position (°2θ)  I_rel  index
29.94  33  0 2 4
30.06  33  0 4 2
30.76  31  1 2 2
32.22  100  1 1 3
38.83  11  1 4 2
49.31  14  2 0 0
55.57  9  1 4 6
55.69  9  1 6 4
58.49  8  1 7 3
58.82  25  0 6 6

Structural model:
```
data_Nd3Dy4Er3
_chemical_formula_sum 'Nd6 Dy8 Er6'
_symmetry_space_group_name_H-M 'A m m 2'
_symmetry_Int_Tables_number 38
_cell_length_a 3.695
_cell_length_b 13.277
_cell_length_c 13.364
_cell_angle_alpha 90.00
_cell_angle_beta 90.00
_cell_angle_gamma 90.00
loop_
_symmetry_equiv_pos_as_xyz
'x,y,z'
'-x,-y,z'
'-x,y,z'
'x,-y,z'
'x,y+1/2,z+1/2'
'-x,-y+1/2,z+1/2'
'-x,y+1/2,z+1/2'
'x,-y+1/2,z+1/2'
loop_
_atom_site_label
_atom_site_type_symbol
_atom_site_fract_x
_atom_site_fract_y
_atom_site_fract_z
_atom_site_occupancy
Nd1 Nd 0.000 0.000 0.000 1
Nd2 Nd 0.000 0.173 0.672 1
Dy1 Dy 0.500 0.000 0.545 1
Dy2 Dy 0.500 0.000 0.799 1
Dy3 Dy 0.500 0.125 0.176 1
Er1 Er 0.000 0.000 0.346 1
Er2 Er 0.500 0.246 0.421 1
```